This entry pairs a crystal structure of Ce2AlSi3 with its simulated X-ray diffraction stick pattern. Radiation: Cu Ka. Structure: a PBE-relaxed structure.

The 12 most intense peaks (10° ≤ 2θ ≤ 90°), most intense first:
(1 1 2), 33.1 deg, intensity 100.0
(1 0 3), 28.7 deg, intensity 30.3
(0 1 5), 37.9 deg, intensity 27.5
(0 0 4), 24.8 deg, intensity 22.0
(0 1 1), 22.1 deg, intensity 21.2
(0 1 3), 28.3 deg, intensity 20.3
(0 2 0), 43.1 deg, intensity 16.3
(1 0 1), 22.7 deg, intensity 16.0
(1 0 5), 38.3 deg, intensity 15.0
(2 0 0), 44.4 deg, intensity 14.9
(2 1 5), 59.8 deg, intensity 14.4
(1 0 7), 49.7 deg, intensity 13.7

Structural model:
```
data_Ce2AlSi3
_chemical_formula_sum 'Ce4 Al2 Si6'
_symmetry_space_group_name_H-M 'I m m 2'
_symmetry_Int_Tables_number 44
_cell_length_a 4.080
_cell_length_b 4.199
_cell_length_c 14.368
_cell_angle_alpha 90.00
_cell_angle_beta 90.00
_cell_angle_gamma 90.00
loop_
_symmetry_equiv_pos_as_xyz
'x,y,z'
'-x,-y,z'
'-x,y,z'
'x,-y,z'
'x+1/2,y+1/2,z+1/2'
'-x+1/2,-y+1/2,z+1/2'
'-x+1/2,y+1/2,z+1/2'
'x+1/2,-y+1/2,z+1/2'
loop_
_atom_site_label
_atom_site_type_symbol
_atom_site_fract_x
_atom_site_fract_y
_atom_site_fract_z
Ce1 Ce 0.000 0.000 0.000
Ce2 Ce 0.000 0.500 0.262
Al1 Al 0.000 0.000 0.591
Si1 Si 0.000 0.000 0.423
Si2 Si 0.000 0.500 0.675
Si3 Si 0.000 0.500 0.839
```

---

This entry pairs a crystal structure of Sr2YGe3Au12 with its simulated X-ray diffraction stick pattern. Radiation: Cu Ka. Structure: a PBE-relaxed structure.

The 12 most intense peaks (10° ≤ 2θ ≤ 90°), most intense first:
(2 2 0), 38.7 deg, intensity 100.0
(0 0 6), 29.7 deg, intensity 66.9
(2 2 6), 49.5 deg, intensity 53.4
(2 0 5), 33.3 deg, intensity 38.8
(1 1 6), 35.5 deg, intensity 26.5
(1 1 0), 19.1 deg, intensity 24.3
(1 2 2), 31.0 deg, intensity 23.2
(2 0 2), 24.2 deg, intensity 21.3
(2 0 11), 60.9 deg, intensity 20.0
(0 2 7), 41.5 deg, intensity 17.9
(6 0 0), 70.1 deg, intensity 15.5
(0 2 1), 22.6 deg, intensity 15.2

Structural model:
```
data_Sr2YGe3Au12
_chemical_formula_sum 'Sr6 Y3 Ge9 Au36'
_symmetry_space_group_name_H-M 'R -3 m'
_symmetry_Int_Tables_number 166
_symmetry_space_group_name_Hall '-R 3 2"'
_cell_length_a 9.3014
_cell_length_b 9.3014
_cell_length_c 18.0870
_cell_angle_alpha 90.00
_cell_angle_beta 90.00
_cell_angle_gamma 120.00
loop_
_atom_site_label
_atom_site_type_symbol
_atom_site_fract_x
_atom_site_fract_y
_atom_site_fract_z
Sr1 Sr 0.0000 0.0000 0.1006
Y1 Y 0.0000 0.0000 0.5000
Ge1 Ge 0.0000 0.5000 0.0000
Au1 Au 0.0157 0.5079 0.8582
Au2 Au 0.0208 0.5104 0.3208
```

---

This entry pairs a crystal structure of PmBeAgSn with its simulated X-ray diffraction stick pattern. Radiation: Cu Ka. Structure: a PBE-relaxed structure.

The 12 most intense peaks (10° ≤ 2θ ≤ 90°), most intense first:
(2 2 0), 36.7 deg, intensity 100.0
(4 2 2), 66.1 deg, intensity 35.5
(1 1 1), 22.2 deg, intensity 19.3
(2 0 0), 25.7 deg, intensity 18.4
(4 0 0), 52.9 deg, intensity 17.4
(6 2 0), 89.6 deg, intensity 16.6
(4 4 0), 78.1 deg, intensity 11.2
(3 1 1), 43.4 deg, intensity 9.8
(4 2 0), 59.7 deg, intensity 8.0
(2 2 2), 45.4 deg, intensity 5.7
(6 0 0), 83.9 deg, intensity 4.1
(3 3 1), 58.1 deg, intensity 3.9

Structural model:
```
data_PmBeAgSn
_chemical_formula_sum 'Pm4 Be4 Ag4 Sn4'
_symmetry_space_group_name_H-M 'F -4 3 m'
_symmetry_Int_Tables_number 216
_symmetry_space_group_name_Hall 'F -4 2 3'
_cell_length_a 6.922
_cell_length_b 6.922
_cell_length_c 6.922
_cell_angle_alpha 90.00
_cell_angle_beta 90.00
_cell_angle_gamma 90.00
loop_
_atom_site_label
_atom_site_type_symbol
_atom_site_fract_x
_atom_site_fract_y
_atom_site_fract_z
Pm1 Pm 0.000 0.000 0.000
Be1 Be 0.250 0.250 0.250
Ag1 Ag 0.250 0.250 0.750
Sn1 Sn 0.000 0.000 0.500
```

---

This entry pairs a crystal structure of AlZnReO6 with its simulated X-ray diffraction stick pattern. Radiation: Cu Ka. Structure: a PBE-relaxed structure.

The 12 most intense peaks (10° ≤ 2θ ≤ 90°), most intense first:
(1 0 2), 28.6 deg, intensity 100.0
(1 0 1), 22.9 deg, intensity 98.4
(1 1 4), 54.9 deg, intensity 52.7
(1 1 0), 36.2 deg, intensity 46.2
(0 0 2), 19.6 deg, intensity 31.2
(1 0 3), 36.4 deg, intensity 30.6
(1 1 2), 41.5 deg, intensity 27.9
(2 0 2), 46.7 deg, intensity 24.9
(2 1 2), 60.5 deg, intensity 23.5
(2 0 1), 43.2 deg, intensity 19.0
(3 0 0), 65.0 deg, intensity 18.8
(2 1 1), 57.6 deg, intensity 16.6

Structural model:
```
data_AlZnReO6
_chemical_formula_sum 'Al2 Zn2 Re2 O12'
_symmetry_space_group_name_H-M 'P -3 1 c'
_symmetry_Int_Tables_number 163
_symmetry_space_group_name_Hall '-P 3 2c'
_cell_length_a 4.9687
_cell_length_b 4.9687
_cell_length_c 9.0564
_cell_angle_alpha 90.00
_cell_angle_beta 90.00
_cell_angle_gamma 120.00
loop_
_atom_site_label
_atom_site_type_symbol
_atom_site_fract_x
_atom_site_fract_y
_atom_site_fract_z
Al1 Al 0.3333 0.6667 0.2500
Zn1 Zn 0.0000 0.0000 0.0000
Re1 Re 0.3333 0.6667 0.7500
O1 O 0.0012 0.3587 0.6356
```

---

This entry pairs a crystal structure of CaLa5Tl6 with its simulated X-ray diffraction stick pattern. Radiation: Cu Ka. Structure: a PBE-relaxed structure.

The 12 most intense peaks (10° ≤ 2θ ≤ 90°), most intense first:
(1 2 -3), 31.9 deg, intensity 100.0
(1 2 0), 31.7 deg, intensity 67.5
(2 0 -1), 32.0 deg, intensity 33.0
(2 -4 1), 56.6 deg, intensity 19.7
(1 2 3), 56.5 deg, intensity 13.1
(3 -2 1), 56.8 deg, intensity 13.1
(3 2 -1), 56.8 deg, intensity 13.0
(3 2 -4), 57.1 deg, intensity 12.9
(0 4 -2), 45.5 deg, intensity 12.6
(2 0 2), 45.6 deg, intensity 12.5
(2 0 -4), 46.0 deg, intensity 12.1
(3 2 2), 75.5 deg, intensity 11.2

Structural model:
```
data_CaLa5Tl6
_chemical_formula_sum 'Ca1 La5 Tl6'
_symmetry_space_group_name_H-M 'P -1'
_symmetry_Int_Tables_number 2
_cell_length_a 5.588
_cell_length_b 7.982
_cell_length_c 9.706
_cell_angle_alpha 114.16
_cell_angle_beta 106.20
_cell_angle_gamma 90.06
loop_
_symmetry_equiv_pos_as_xyz
'x,y,z'
'-x,-y,-z'
loop_
_atom_site_label
_atom_site_type_symbol
_atom_site_fract_x
_atom_site_fract_y
_atom_site_fract_z
Ca1 Ca 0.000 0.000 0.000
La1 La 0.000 0.500 0.000
La2 La 0.333 0.333 0.665
La3 La 0.336 0.835 0.670
Tl1 Tl 0.163 0.411 0.328
Tl2 Tl 0.163 0.917 0.328
Tl3 Tl 0.500 0.244 0.000
```

---

This entry pairs a crystal structure of Pr5Y6Sc2 with its simulated X-ray diffraction stick pattern. Radiation: Cu Ka. Structure: a PBE-relaxed structure.

The 12 most intense peaks (10° ≤ 2θ ≤ 90°), most intense first:
(0 8 0), 31.9 deg, intensity 100.0
(2 3 1), 32.4 deg, intensity 83.8
(3 3 0), 27.5 deg, intensity 71.6
(0 4 1), 29.7 deg, intensity 60.1
(0 0 2), 51.4 deg, intensity 44.0
(3 1 1), 35.7 deg, intensity 37.9
(2 5 1), 36.3 deg, intensity 29.2
(0 8 2), 61.7 deg, intensity 29.0
(6 2 1), 58.0 deg, intensity 25.2
(2 4 1), 34.1 deg, intensity 22.3
(3 3 2), 59.3 deg, intensity 20.3
(3 3 1), 37.5 deg, intensity 19.6

Structural model:
```
data_Pr5Y6Sc2
_chemical_formula_sum 'Pr10 Y12 Sc4'
_symmetry_space_group_name_H-M 'P b a m'
_symmetry_Int_Tables_number 55
_cell_length_a 10.804
_cell_length_b 22.468
_cell_length_c 3.556
_cell_angle_alpha 90.00
_cell_angle_beta 90.00
_cell_angle_gamma 90.00
loop_
_symmetry_equiv_pos_as_xyz
'x,y,z'
'-x,-y,-z'
'-x,-y,z'
'x,y,-z'
'x+1/2,-y+1/2,-z'
'-x+1/2,y+1/2,z'
'-x+1/2,y+1/2,-z'
'x+1/2,-y+1/2,z'
loop_
_atom_site_label
_atom_site_type_symbol
_atom_site_fract_x
_atom_site_fract_y
_atom_site_fract_z
Pr1 Pr 0.000 0.000 0.000
Pr2 Pr 0.087 0.252 0.000
Pr3 Pr 0.167 0.510 0.000
Y1 Y 0.035 0.387 0.500
Y2 Y 0.137 0.118 0.500
Y3 Y 0.165 0.860 0.000
Sc1 Sc 0.163 0.729 0.500
```